# 1
Na3Nd5Cl18: theoretical powder XRD pattern (Cu Kα (weighted mean of Kα1 and Kα2)), based on DFT lattice parameters and positions (GGA-PBE).
No peak broadening, texture or thermal motion is included.

Atomic structure:
```
Na3Nd5Cl18
1.0
7.653 0.000 0.000
-3.827 6.628 0.000
0.000 0.000 12.744
Na Nd Cl
3 5 18
direct
0.000 0.000 0.000 Na
0.667 0.333 0.232 Na
0.667 0.333 0.768 Na
0.000 0.000 0.332 Nd
0.000 0.000 0.668 Nd
0.333 0.667 0.160 Nd
0.333 0.667 0.500 Nd
0.333 0.667 0.840 Nd
0.057 0.635 0.336 Cl
0.057 0.635 0.664 Cl
0.059 0.628 0.000 Cl
0.271 0.025 0.500 Cl
0.279 0.026 0.176 Cl
0.279 0.026 0.824 Cl
0.365 0.422 0.336 Cl
0.365 0.422 0.664 Cl
0.372 0.432 0.000 Cl
0.568 0.941 0.000 Cl
0.578 0.943 0.336 Cl
0.578 0.943 0.664 Cl
0.747 0.721 0.176 Cl
0.747 0.721 0.824 Cl
0.754 0.729 0.500 Cl
0.974 0.253 0.176 Cl
0.974 0.253 0.824 Cl
0.975 0.246 0.500 Cl
```

The 10 most intense peaks (2θ = 15–90°), by angle:
23.24 deg, intensity 478
24.90 deg, intensity 586
31.46 deg, intensity 328
34.32 deg, intensity 1000
35.85 deg, intensity 189
40.84 deg, intensity 414
41.86 deg, intensity 804
42.57 deg, intensity 211
60.46 deg, intensity 212
65.16 deg, intensity 304

# 2
BaTb4SmS8: theoretical powder XRD pattern (Cu Kα (weighted mean of Kα1 and Kα2)), based on DFT lattice parameters and positions (GGA-PBE).
No peak broadening, texture or thermal motion is included.

Atomic structure:
```
BaTb4SmS8
1.0
4.138 2.389 6.812
-4.138 2.389 6.812
0.000 -4.778 6.812
Ba Tb Sm S
1 4 1 8
direct
0.000 0.000 0.000 Ba
0.121 0.628 0.628 Tb
0.251 0.251 0.251 Tb
0.628 0.121 0.628 Tb
0.628 0.628 0.121 Tb
0.628 0.628 0.628 Sm
0.381 0.381 0.856 S
0.381 0.856 0.381 S
0.383 0.383 0.383 S
0.428 0.861 0.861 S
0.856 0.381 0.381 S
0.858 0.858 0.858 S
0.861 0.428 0.861 S
0.861 0.861 0.428 S
```

The 10 most intense peaks (2θ = 15–90°), by angle:
21.36 deg, intensity 185
21.47 deg, intensity 163
25.15 deg, intensity 1000
25.23 deg, intensity 346
30.47 deg, intensity 282
39.89 deg, intensity 402
39.99 deg, intensity 205
43.51 deg, intensity 395
43.75 deg, intensity 393
60.75 deg, intensity 162

# 3
ScTaTl2: theoretical powder XRD pattern (Cu Kα (weighted mean of Kα1 and Kα2)), based on DFT lattice parameters and positions (GGA-PBE).
No peak broadening, texture or thermal motion is included.

Atomic structure:
```
ScTaTl2
1.0
3.133 0.000 0.000
0.000 5.076 0.000
-0.310 0.000 5.695
Sc Ta Tl
1 1 2
direct
0.000 0.000 0.000 Sc
0.500 0.000 0.500 Ta
0.272 0.500 0.743 Tl
0.728 0.500 0.257 Tl
```

The 10 most intense peaks (2θ = 15–90°), by angle:
15.56 deg, intensity 219
17.47 deg, intensity 228
33.42 deg, intensity 617
35.36 deg, intensity 534
36.17 deg, intensity 1000
36.58 deg, intensity 954
49.44 deg, intensity 414
61.26 deg, intensity 220
62.08 deg, intensity 201
64.01 deg, intensity 192

# 4
K4Rb5Ag2: theoretical powder XRD pattern (Cu Kα (weighted mean of Kα1 and Kα2)), based on DFT lattice parameters and positions (GGA-PBE).
No peak broadening, texture or thermal motion is included.

Atomic structure:
```
K4Rb5Ag2
1.0
14.815 -2.410 0.000
14.815 2.410 0.000
-0.553 0.000 10.459
K Rb Ag
4 5 2
direct
0.059 0.059 0.352 K
0.309 0.309 0.495 K
0.691 0.691 0.505 K
0.941 0.941 0.648 K
0.103 0.103 0.765 Rb
0.197 0.197 0.110 Rb
0.500 0.500 0.000 Rb
0.803 0.803 0.890 Rb
0.897 0.897 0.235 Rb
0.225 0.225 0.740 Ag
0.775 0.775 0.260 Ag
```

The 10 most intense peaks (2θ = 15–90°), by angle:
20.48 deg, intensity 1000
22.40 deg, intensity 659
24.14 deg, intensity 787
25.43 deg, intensity 974
25.95 deg, intensity 725
28.08 deg, intensity 727
29.70 deg, intensity 903
31.92 deg, intensity 965
36.61 deg, intensity 483
37.31 deg, intensity 513

# 5
Tb5CeEr: theoretical powder XRD pattern (Cu Kα (weighted mean of Kα1 and Kα2)), based on DFT lattice parameters and positions (GGA-PBE).
No peak broadening, texture or thermal motion is included.

Atomic structure:
```
Tb5CeEr
1.0
6.934 0.000 0.000
0.000 10.183 0.000
-2.028 0.000 6.575
Tb Ce Er
10 2 2
direct
0.000 0.000 0.000 Tb
0.189 0.282 0.731 Tb
0.189 0.718 0.731 Tb
0.311 0.218 0.269 Tb
0.311 0.782 0.269 Tb
0.500 0.500 0.000 Tb
0.689 0.218 0.731 Tb
0.689 0.782 0.731 Tb
0.811 0.282 0.269 Tb
0.811 0.718 0.269 Tb
0.000 0.000 0.500 Ce
0.500 0.500 0.500 Ce
0.000 0.500 0.000 Er
0.500 0.000 0.000 Er
```

The 10 most intense peaks (2θ = 15–90°), by angle:
22.08 deg, intensity 130
23.38 deg, intensity 118
30.87 deg, intensity 215
31.73 deg, intensity 229
32.23 deg, intensity 1000
32.42 deg, intensity 805
33.69 deg, intensity 157
35.25 deg, intensity 246
48.50 deg, intensity 176
57.69 deg, intensity 226

# 6
La5Pr8Dy: theoretical powder XRD pattern (Cu Kα (weighted mean of Kα1 and Kα2)), based on DFT lattice parameters and positions (GGA-PBE).
No peak broadening, texture or thermal motion is included.

Atomic structure:
```
La5Pr8Dy
1.0
7.425 0.000 0.000
-1.838 8.059 0.000
-0.018 -3.378 8.455
La Pr Dy
5 8 1
direct
0.000 0.000 0.000 La
0.070 0.289 0.430 La
0.356 0.430 0.145 La
0.500 0.001 0.002 La
0.786 0.141 0.715 La
0.141 0.572 0.856 Pr
0.214 0.859 0.290 Pr
0.284 0.142 0.715 Pr
0.428 0.716 0.573 Pr
0.573 0.288 0.431 Pr
0.643 0.572 0.856 Pr
0.716 0.857 0.289 Pr
0.858 0.431 0.146 Pr
0.928 0.715 0.573 Dy
```

The 10 most intense peaks (2θ = 15–90°), by angle:
29.46 deg, intensity 1000
29.54 deg, intensity 331
34.11 deg, intensity 453
34.30 deg, intensity 223
49.09 deg, intensity 243
49.19 deg, intensity 161
58.21 deg, intensity 242
58.32 deg, intensity 96
58.45 deg, intensity 144
79.69 deg, intensity 97

# 7
TmMgHgIr: theoretical powder XRD pattern (Cu Kα (weighted mean of Kα1 and Kα2)), based on DFT lattice parameters and positions (GGA-PBE).
No peak broadening, texture or thermal motion is included.

Atomic structure:
```
TmMgHgIr
1.0
6.816 0.000 0.000
0.000 6.816 0.000
0.000 0.000 6.816
Tm Mg Hg Ir
4 4 4 4
direct
0.000 0.000 0.000 Tm
0.000 0.500 0.500 Tm
0.500 0.000 0.500 Tm
0.500 0.500 0.000 Tm
0.000 0.000 0.500 Mg
0.000 0.500 0.000 Mg
0.500 0.000 0.000 Mg
0.500 0.500 0.500 Mg
0.250 0.250 0.750 Hg
0.250 0.750 0.250 Hg
0.750 0.250 0.250 Hg
0.750 0.750 0.750 Hg
0.250 0.250 0.250 Ir
0.250 0.750 0.750 Ir
0.750 0.250 0.750 Ir
0.750 0.750 0.250 Ir
```

The 10 most intense peaks (2θ = 15–90°), by angle:
22.59 deg, intensity 142
26.15 deg, intensity 139
37.31 deg, intensity 1000
44.06 deg, intensity 76
46.13 deg, intensity 42
53.79 deg, intensity 176
59.07 deg, intensity 32
60.77 deg, intensity 57
67.29 deg, intensity 362
79.55 deg, intensity 114

# 8
NaAc3B2O8: theoretical powder XRD pattern (Cu Kα (weighted mean of Kα1 and Kα2)), based on DFT lattice parameters and positions (GGA-PBE).
No peak broadening, texture or thermal motion is included.

Atomic structure:
```
NaAc3B2O8
1.0
5.426 0.000 0.000
-2.713 4.699 0.000
0.000 0.000 6.935
Na Ac B O
1 3 2 8
direct
0.000 0.000 0.000 Na
0.000 0.000 0.500 Ac
0.333 0.667 0.165 Ac
0.667 0.333 0.835 Ac
0.333 0.667 0.713 B
0.667 0.333 0.287 B
0.184 0.368 0.793 O
0.184 0.816 0.793 O
0.333 0.667 0.501 O
0.368 0.184 0.207 O
0.632 0.816 0.793 O
0.667 0.333 0.499 O
0.816 0.184 0.207 O
0.816 0.632 0.207 O
```

The 10 most intense peaks (2θ = 15–90°), by angle:
22.86 deg, intensity 1000
32.08 deg, intensity 604
33.02 deg, intensity 641
38.96 deg, intensity 147
40.54 deg, intensity 364
46.70 deg, intensity 287
51.97 deg, intensity 301
53.24 deg, intensity 241
58.38 deg, intensity 221
58.97 deg, intensity 122

# 9
Pm8Ge3SeI4: theoretical powder XRD pattern (Cu Kα (weighted mean of Kα1 and Kα2)), based on DFT lattice parameters and positions (GGA-PBE).
No peak broadening, texture or thermal motion is included.

Atomic structure:
```
Pm8Ge3SeI4
1.0
7.434 -4.417 0.000
7.434 4.417 0.000
-4.801 0.000 7.179
Pm Ge Se I
8 3 1 4
direct
0.227 0.738 0.761 Pm
0.235 0.235 0.265 Pm
0.262 0.262 0.727 Pm
0.262 0.773 0.239 Pm
0.738 0.227 0.761 Pm
0.738 0.738 0.273 Pm
0.765 0.765 0.735 Pm
0.773 0.262 0.239 Pm
0.000 0.000 0.000 Ge
0.000 0.500 0.500 Ge
0.500 0.000 0.500 Ge
0.500 0.500 0.000 Se
0.000 0.000 0.500 I
0.000 0.500 0.000 I
0.500 0.000 0.000 I
0.500 0.500 0.500 I
```

The 10 most intense peaks (2θ = 15–90°), by angle:
28.91 deg, intensity 1000
31.68 deg, intensity 117
40.87 deg, intensity 425
41.82 deg, intensity 279
50.84 deg, intensity 206
57.55 deg, intensity 93
59.91 deg, intensity 95
67.19 deg, intensity 183
74.42 deg, intensity 71
75.04 deg, intensity 65

# 10
La2Tb3Er4: theoretical powder XRD pattern (Cu Kα (weighted mean of Kα1 and Kα2)), based on DFT lattice parameters and positions (GGA-PBE).
No peak broadening, texture or thermal motion is included.

Atomic structure:
```
La2Tb3Er4
1.0
0.000 6.216 7.928
3.060 0.000 7.928
3.060 6.216 0.000
La Tb Er
2 3 4
direct
0.115 0.115 0.885 La
0.885 0.885 0.115 La
0.000 0.000 0.500 Tb
0.500 0.500 0.000 Tb
0.500 0.500 0.500 Tb
0.168 0.455 0.545 Er
0.455 0.168 0.832 Er
0.545 0.832 0.168 Er
0.832 0.545 0.455 Er
```

The 10 most intense peaks (2θ = 15–90°), by angle:
26.63 deg, intensity 334
29.18 deg, intensity 240
30.90 deg, intensity 593
31.07 deg, intensity 1000
31.33 deg, intensity 234
32.61 deg, intensity 945
34.57 deg, intensity 387
52.94 deg, intensity 225
53.40 deg, intensity 203
54.95 deg, intensity 231

# 11
Pr2Sm8Sc3: theoretical powder XRD pattern (Cu Kα (weighted mean of Kα1 and Kα2)), based on DFT lattice parameters and positions (GGA-PBE).
No peak broadening, texture or thermal motion is included.

Atomic structure:
```
Pr2Sm8Sc3
1.0
7.520 -4.405 0.000
7.520 4.405 0.000
-0.985 0.000 6.584
Pr Sm Sc
2 8 3
direct
0.203 0.203 0.291 Pr
0.797 0.797 0.709 Pr
0.186 0.186 0.804 Sm
0.208 0.575 0.575 Sm
0.409 0.409 0.104 Sm
0.425 0.792 0.425 Sm
0.575 0.208 0.575 Sm
0.591 0.591 0.896 Sm
0.792 0.425 0.425 Sm
0.814 0.814 0.196 Sm
0.000 0.000 0.500 Sc
0.162 0.838 0.000 Sc
0.838 0.162 0.000 Sc
```

The 10 most intense peaks (2θ = 15–90°), by angle:
20.16 deg, intensity 264
23.47 deg, intensity 241
24.31 deg, intensity 402
28.02 deg, intensity 274
31.30 deg, intensity 899
31.75 deg, intensity 975
31.98 deg, intensity 1000
32.89 deg, intensity 396
34.33 deg, intensity 551
35.53 deg, intensity 307

# 12
SrOsBrO4: theoretical powder XRD pattern (Cu Kα (weighted mean of Kα1 and Kα2)), based on DFT lattice parameters and positions (GGA-PBE).
No peak broadening, texture or thermal motion is included.

Atomic structure:
```
SrOsBrO4
1.0
5.467 -3.933 0.000
5.467 3.933 0.000
-2.037 0.000 7.210
Sr Os Br O
2 2 2 8
direct
0.217 0.217 0.134 Sr
0.783 0.783 0.866 Sr
0.368 0.368 0.738 Os
0.632 0.632 0.262 Os
0.027 0.027 0.755 Br
0.973 0.973 0.245 Br
0.139 0.495 0.844 O
0.305 0.305 0.496 O
0.465 0.465 0.207 O
0.495 0.139 0.844 O
0.505 0.861 0.156 O
0.535 0.535 0.793 O
0.695 0.695 0.504 O
0.861 0.505 0.156 O
```

The 10 most intense peaks (2θ = 15–90°), by angle:
17.97 deg, intensity 286
20.17 deg, intensity 251
22.61 deg, intensity 1000
23.49 deg, intensity 392
24.69 deg, intensity 481
27.52 deg, intensity 542
27.85 deg, intensity 295
32.45 deg, intensity 331
33.73 deg, intensity 394
42.87 deg, intensity 322

# 13
MgTa2: theoretical powder XRD pattern (Cu Kα (weighted mean of Kα1 and Kα2)), based on DFT lattice parameters and positions (GGA-PBE).
No peak broadening, texture or thermal motion is included.

Atomic structure:
```
MgTa2
1.0
11.293 0.000 0.000
0.000 2.856 0.000
-2.002 0.000 7.006
Mg Ta
4 8
direct
0.000 0.000 0.000 Mg
0.162 0.500 0.330 Mg
0.500 0.500 0.000 Mg
0.662 0.000 0.330 Mg
0.066 0.000 0.632 Ta
0.235 0.500 0.956 Ta
0.333 0.000 0.658 Ta
0.390 0.000 0.297 Ta
0.566 0.500 0.632 Ta
0.735 0.000 0.956 Ta
0.833 0.500 0.658 Ta
0.890 0.500 0.297 Ta
```

The 10 most intense peaks (2θ = 15–90°), by angle:
16.33 deg, intensity 176
17.71 deg, intensity 469
34.06 deg, intensity 192
35.81 deg, intensity 1000
38.55 deg, intensity 402
38.73 deg, intensity 388
40.14 deg, intensity 573
40.22 deg, intensity 558
51.48 deg, intensity 181
62.08 deg, intensity 199